Structure and calculated X-ray diffraction stick pattern of Nb2Co4O9 (a GGA+U-relaxed structure; Cu Ka).
Kinematic intensities with the Lorentz-polarization factor, no thermal factor.

Atomic structure:
```
data_Nb2Co4O9
_cell_length_a 5.2214
_cell_length_b 5.2214
_cell_length_c 14.2814
_cell_angle_alpha 90.00
_cell_angle_beta 90.00
_cell_angle_gamma 60.00
_space_group_name_H-M_alt 'P 1'
_space_group_IT_number 1
loop_
_space_group_symop_operation_xyz
'x,y,z'
loop_
_atom_site_label
_atom_site_fract_x
_atom_site_fract_y
_atom_site_fract_z
Nb1 0.9997 0.9997 0.1083
Nb2 0.0003 0.0003 0.8917
Nb3 0.0002 0.9993 0.3917
Nb4 0.0007 0.9998 0.6083
Co1 0.3331 0.3327 0.2352
Co2 0.3334 0.3333 0.9436
Co3 0.3337 0.3327 0.4436
Co4 0.3340 0.3333 0.7352
Co5 0.6667 0.6660 0.2648
Co6 0.6673 0.6663 0.5564
Co7 0.6667 0.6666 0.0564
Co8 0.6673 0.6669 0.7648
O1 0.0001 0.2901 0.0000
O2 0.0004 0.7092 0.5000
O3 0.0222 0.3214 0.3338
O4 0.0225 0.6560 0.8338
O5 0.2902 0.7098 0.0000
O6 0.2908 0.9996 0.5000
O7 0.3224 0.0222 0.8338
O8 0.3222 0.6552 0.3338
O9 0.3440 0.9775 0.1662
O10 0.3448 0.6778 0.6662
O11 0.6561 0.0214 0.3338
O12 0.6563 0.3222 0.8338
O13 0.6778 0.3437 0.1662
O14 0.6786 0.9778 0.6662
O15 0.7099 0.9999 0.0000
O16 0.7103 0.2897 0.5000
O17 0.9778 0.6776 0.1662
O18 0.9786 0.3439 0.6662
```

Largest 8 diffraction maxima, in order of rising 2θ, 10 to 90 degrees two-theta:
19.6 deg, intensity 13; 23.3 deg, intensity 22; 31.9 deg, intensity 100; 34.4 deg, intensity 75; 47.6 deg, intensity 38; 52.0 deg, intensity 39; 60.0 deg, intensity 34; 61.5 deg, intensity 28